Simulated XRD peak list
Compound: AgGe3Te4
Radiation: Cu Ka
Structure: a DFT-relaxed cell (PBE, Alexandria)
Lines closer than 0.1° are merged.

Most intense lines, 10° ≤ 2θ ≤ 90°, in order of rising 2θ:
d 3.002, rel. 100; d 2.980, rel. 99; d 2.970, rel. 99; d 2.134, rel. 36; d 2.126, rel. 36; d 2.119, rel. 37; d 2.097, rel. 73; d 2.089, rel. 36; d 1.750, rel. 19; d 1.717, rel. 19; d 1.713, rel. 38; d 1.212, rel. 18

Cell and atoms:
```
AgGe3Te4
1.0
4.1778 0.0000 0.0000
0.0022 7.2728 0.0000
0.0308 2.4891 6.9996
Ag Ge Te
1 3 4
Direct
0.0000 0.0000 0.0000
0.5035 0.4939 0.0222
0.5029 0.9960 0.5164
0.9992 0.4994 0.4959
0.4976 0.2470 0.7355
0.4995 0.7448 0.2392
0.9972 0.7521 0.7338
0.9978 0.2526 0.2374
```